[1]
Calculated powder X-ray diffraction pattern
Compound: Ho3ZnIr8
Radiation: λ = 1.5418 Å (Cu Kα)
Structure: a PBE-relaxed structure
Peak positions follow from Bragg's law for the DFT cell and can differ from measured ones.

Top 6 peaks for 2θ from 15° to 90°, in order of rising 2θ:
Position (°2θ)	d_spacing	I/Imax
20.48	4.337	18
39.80	2.265	100
41.65	2.168	51
64.45	1.446	32
70.98	1.328	29
85.81	1.132	20

Cell and atoms:
```
12
Lattice="2.657 1.534 8.667 -2.657 1.534 8.667 0.000 -3.068 8.667" Properties=species:S:1:pos:R:3 pbc="T T T"
Ho 0.000 0.000 0.000
Ho 0.000 0.000 3.341
Ho 0.000 0.000 16.062
Zn 0.000 0.000 12.794
Ir 0.000 -1.534 5.940
Ir -1.328 0.767 5.940
Ir -1.329 -0.767 10.297
Ir 0.000 0.000 8.127
Ir 1.328 0.767 5.940
Ir 1.329 -0.767 10.297
Ir 0.000 1.534 10.297
Ir 0.000 0.000 21.135
```



[2]
Calculated powder X-ray diffraction pattern
Compound: KHoMgS3
Radiation: λ = 1.5418 Å (Cu Kα)
Structure: a PBE-relaxed structure
Peak positions follow from Bragg's law for the DFT cell and can differ from measured ones.

Top 6 peaks for 2θ from 15° to 90°, in order of rising 2θ:
Position (°2θ)	d_spacing	I/Imax
28.59	3.123	42
30.16	2.963	100
30.71	2.911	60
33.59	2.668	26
35.15	2.553	27
44.20	2.049	62

Cell and atoms:
```
12
Lattice="8.672 0.000 0.000 0.000 4.099 0.000 -2.956 0.000 9.368" Properties=species:S:1:pos:R:3 pbc="T T T"
K 1.130 1.025 2.000
K 4.586 3.074 7.368
Ho 0.338 3.074 8.098
Ho 5.378 1.025 1.270
Mg -1.063 1.025 5.711
Mg 6.779 3.074 3.657
S -1.528 1.025 8.060
S 0.129 3.074 5.133
S 3.561 3.074 1.389
S 2.155 1.025 7.979
S 5.587 1.025 4.235
S 7.244 3.074 1.308
```